Nd2W3O12: theoretical PXRD pattern (Cu Kα (λ = 1.5418 Å)), based on DFT lattice parameters and positions (GGA+U).
Peak positions follow from Bragg's law for the DFT cell and can differ from measured ones.

Principal peaks in the range 2θ = 10–80°, low angle first:
2θ/deg  I (rel.)
16.08  17
18.13  17
27.06  100
28.64  69
30.39  27
33.07  16
45.56  35
45.70  20

Crystal structure
```
Nd2W3O12
1.0
3.9785 -5.8827 0.0000
3.9785 5.8827 0.0000
-3.9043 0.0000 11.0263
Nd W O
4 6 24
Direct
0.0406 0.2873 0.0943
0.2873 0.0406 0.5943
0.7127 0.9594 0.4057
0.9594 0.7127 0.9057
0.1342 0.8658 0.2500
0.2524 0.4607 0.4529
0.4607 0.2524 0.9529
0.5393 0.7476 0.0471
0.7476 0.5393 0.5471
0.8658 0.1342 0.7500
0.0808 0.6611 0.1095
0.0860 0.1887 0.4606
0.1102 0.4572 0.3043
0.1169 0.2060 0.7178
0.1887 0.0860 0.9606
0.2060 0.1169 0.2178
0.2312 0.6617 0.5598
0.3383 0.7688 0.9402
0.3389 0.9192 0.3905
0.3970 0.4721 0.0719
0.4572 0.1102 0.8043
0.4721 0.3970 0.5719
0.5279 0.6030 0.4281
0.5428 0.8898 0.1957
0.6030 0.5279 0.9281
0.6611 0.0808 0.6095
0.6617 0.2312 0.0598
0.7688 0.3383 0.4402
0.7940 0.8831 0.7822
0.8113 0.9140 0.0394
0.8831 0.7940 0.2822
0.8898 0.5428 0.6957
0.9140 0.8113 0.5394
0.9192 0.3389 0.8905
```